Diffraction record for HfNpCoO6. The powder diffraction line list is theoretical, not measured: it uses a cell relaxed with GGA+U and Cu Ka.
Lines closer than 0.1° are merged.

Top 8 peaks for 5 to 70 degrees two-theta, most intense first:
d_spacing	Position (°2θ)	I (rel.)
3.250	27.4	100
2.749	32.6	79
2.338	38.5	71
4.448	20.0	62
1.729	53.0	61
4.762	18.6	36
2.099	43.1	30
1.668	55.0	29

Cell and atoms:
```
HfNpCoO6
1.0
5.498 0.000 0.000
-2.749 4.762 0.000
0.000 0.000 8.895
Hf Np Co O
2 2 2 12
direct
0.333 0.667 0.250
0.667 0.333 0.750
0.333 0.667 0.750
0.667 0.333 0.250
0.000 0.000 0.000
0.000 0.000 0.500
0.002 0.346 0.632
0.002 0.656 0.868
0.344 0.346 0.868
0.344 0.998 0.632
0.346 0.002 0.132
0.346 0.344 0.368
0.654 0.656 0.632
0.654 0.998 0.868
0.656 0.002 0.368
0.656 0.654 0.132
0.998 0.344 0.132
0.998 0.654 0.368
```



Diffraction record for HfCoSbO6. The powder diffraction line list is theoretical, not measured: it uses a cell relaxed with GGA+U and Cu Ka.
Lines closer than 0.1° are merged.

Top 8 peaks for 5 to 70 degrees two-theta, most intense first:
d_spacing	Position (°2θ)	I (rel.)
2.599	34.5	100
3.384	26.3	66
3.344	26.7	64
1.760	51.9	42
1.749	52.3	42
1.412	66.2	34
2.379	37.8	30
4.236	21.0	28

Cell and atoms:
```
HfCoSbO6
1.0
3.344 -3.384 0.000
3.344 3.384 0.000
0.000 0.000 9.310
Hf Co Sb O
2 2 2 12
direct
0.000 0.000 0.000
0.500 0.500 0.495
0.000 0.000 0.328
0.500 0.500 0.828
0.000 0.000 0.658
0.500 0.500 0.164
0.186 0.186 0.488
0.196 0.196 0.167
0.200 0.200 0.822
0.297 0.703 0.661
0.305 0.695 0.323
0.311 0.689 0.997
0.689 0.311 0.997
0.695 0.305 0.323
0.703 0.297 0.661
0.800 0.800 0.822
0.804 0.804 0.167
0.814 0.814 0.488
```